No. 1
The following is a theoretical powder XRD pattern of Cu5NiPt8. It was derived from the GGA-PBE geometry in Alexandria, using Cu Kα (λ = 1.5418 Å).

Largest 10 diffraction maxima, most intense first, 2θ = 15–90°:
- 45.4°, I = 100
- 38.0°, I = 60
- 29.3°, I = 49
- 38.1°, I = 38
- 60.7°, I = 19
- 79.0°, I = 17
- 63.5°, I = 16
- 51.9°, I = 12
- 41.9°, I = 12
- 74.0°, I = 11

Crystal structure
```
data_Cu5NiPt8
_chemical_formula_sum 'Cu10 Ni2 Pt16'
_symmetry_space_group_name_H-M 'I -4'
_symmetry_Int_Tables_number 82
_symmetry_space_group_name_Hall 'I -4'
_cell_length_a 7.467
_cell_length_b 7.467
_cell_length_c 7.489
_cell_angle_alpha 90.00
_cell_angle_beta 90.00
_cell_angle_gamma 90.00
loop_
_atom_site_label
_atom_site_type_symbol
_atom_site_fract_x
_atom_site_fract_y
_atom_site_fract_z
Cu1 Cu 0.000 0.000 0.000
Cu2 Cu 0.109 0.195 0.409
Ni1 Ni 0.000 0.500 0.750
Pt1 Pt 0.065 0.336 0.083
Pt2 Pt 0.109 0.190 0.748
```

=====

No. 2
The following is a theoretical powder XRD pattern of PuCu3Cl6. It was derived from the GGA-PBE geometry in Alexandria, using Cu Kα (λ = 1.5418 Å).

Largest 10 diffraction maxima, most intense first, 2θ = 15–90°:
- 29.8°, I = 100
- 25.3°, I = 39
- 23.4°, I = 29
- 33.1°, I = 25
- 37.7°, I = 24
- 49.7°, I = 23
- 18.6°, I = 21
- 24.3°, I = 20
- 37.9°, I = 19
- 33.7°, I = 19

Crystal structure
```
data_PuCu3Cl6
_chemical_formula_sum 'Pu1 Cu3 Cl6'
_symmetry_space_group_name_H-M 'P -1'
_symmetry_Int_Tables_number 2
_symmetry_space_group_name_Hall '-P 1'
_cell_length_a 7.531
_cell_length_b 7.539
_cell_length_c 7.808
_cell_angle_alpha 103.00
_cell_angle_beta 113.60
_cell_angle_gamma 110.54
loop_
_atom_site_label
_atom_site_type_symbol
_atom_site_fract_x
_atom_site_fract_y
_atom_site_fract_z
Pu1 Pu 0.000 0.000 0.000
Cu1 Cu 0.000 0.500 0.000
Cu2 Cu 0.000 0.500 0.500
Cu3 Cu 0.500 0.000 0.000
Cl1 Cl 0.004 0.745 0.201
Cl2 Cl 0.058 0.279 0.337
Cl3 Cl 0.457 0.201 0.198
```

=====

No. 3
The following is a theoretical powder XRD pattern of SmHo3Ag4. It was derived from the GGA-PBE geometry in Alexandria, using Cu Kα (λ = 1.5418 Å).

Largest 10 diffraction maxima, most intense first, 2θ = 15–90°:
- 34.9°, I = 100
- 34.7°, I = 51
- 62.3°, I = 36
- 49.8°, I = 18
- 62.7°, I = 18
- 73.7°, I = 11
- 50.5°, I = 9
- 83.5°, I = 8
- 83.7°, I = 8
- 84.7°, I = 8

Crystal structure
```
data_SmHo3Ag4
_chemical_formula_sum 'Sm1 Ho3 Ag4'
_symmetry_space_group_name_H-M 'P m m m'
_symmetry_Int_Tables_number 47
_symmetry_space_group_name_Hall '-P 2 2'
_cell_length_a 3.615
_cell_length_b 5.177
_cell_length_c 10.347
_cell_angle_alpha 90.00
_cell_angle_beta 90.00
_cell_angle_gamma 90.00
loop_
_atom_site_label
_atom_site_type_symbol
_atom_site_fract_x
_atom_site_fract_y
_atom_site_fract_z
Sm1 Sm 0.000 0.000 0.000
Ho1 Ho 0.000 0.000 0.500
Ho2 Ho 0.000 0.500 0.252
Ag1 Ag 0.500 0.000 0.257
Ag2 Ag 0.500 0.500 0.000
Ag3 Ag 0.500 0.500 0.500
```